Computed powder diffractogram of DySn4Rh2 for CuKα, from a PBE-relaxed structure.
Intensities are scaled so that the largest is 100.

The 10 most intense peaks (2θ = 10–80°), sorted by position:
- 33.23 deg, I 100
- 33.90 deg, I 68
- 35.53 deg, I 21
- 36.30 deg, I 28
- 39.90 deg, I 15
- 40.55 deg, I 47
- 43.58 deg, I 35
- 55.55 deg, I 17
- 62.95 deg, I 16
- 64.19 deg, I 15

Unit cell a=18.418 b=4.449 c=7.290 alpha=90.00 beta=90.00 gamma=90.00
Atoms (fractional coordinates):
1 Dy 0.143 0.250 0.008
2 Dy 0.357 0.750 0.508
3 Dy 0.643 0.250 0.492
4 Dy 0.857 0.750 0.992
5 Sn 0.034 0.750 0.870
6 Sn 0.067 0.250 0.478
7 Sn 0.182 0.750 0.305
8 Sn 0.194 0.750 0.729
9 Sn 0.306 0.250 0.229
10 Sn 0.318 0.250 0.805
11 Sn 0.433 0.750 0.978
12 Sn 0.466 0.250 0.370
13 Sn 0.534 0.750 0.630
14 Sn 0.567 0.250 0.022
15 Sn 0.682 0.750 0.195
16 Sn 0.694 0.750 0.771
17 Sn 0.806 0.250 0.271
18 Sn 0.818 0.250 0.695
19 Sn 0.933 0.750 0.522
20 Sn 0.966 0.250 0.130
21 Rh 0.035 0.750 0.249
22 Rh 0.215 0.250 0.523
23 Rh 0.285 0.750 0.023
24 Rh 0.465 0.250 0.749
25 Rh 0.535 0.750 0.251
26 Rh 0.715 0.250 0.977
27 Rh 0.785 0.750 0.477
28 Rh 0.965 0.250 0.751



Computed powder diffractogram of CaSm2Er3Te6 for CuKα, from a PBE-relaxed structure.
Intensities are scaled so that the largest is 100.

The 10 most intense peaks (2θ = 10–80°), sorted by position:
- 28.75 deg, I 100
- 40.97 deg, I 38
- 41.25 deg, I 37
- 50.58 deg, I 7
- 51.06 deg, I 20
- 59.55 deg, I 12
- 67.25 deg, I 17
- 67.68 deg, I 11
- 74.98 deg, I 8
- 75.08 deg, I 6

Unit cell a=9.845 b=9.845 c=8.813 alpha=103.40 beta=103.40 gamma=25.66
Atoms (fractional coordinates):
1 Ca 0.000 0.000 0.000
2 Sm 0.327 0.327 0.655
3 Sm 0.673 0.673 0.345
4 Er 0.000 0.000 0.500
5 Er 0.331 0.331 0.172
6 Er 0.669 0.669 0.828
7 Te 0.161 0.161 0.589
8 Te 0.167 0.167 0.076
9 Te 0.499 0.499 0.254
10 Te 0.501 0.501 0.746
11 Te 0.833 0.833 0.924
12 Te 0.839 0.839 0.411



Computed powder diffractogram of Sm3CCl for CuKα, from a PBE-relaxed structure.
Intensities are scaled so that the largest is 100.

The 10 most intense peaks (2θ = 10–80°), sorted by position:
- 12.14 deg, I 51
- 24.42 deg, I 39
- 26.29 deg, I 55
- 31.53 deg, I 90
- 33.65 deg, I 100
- 34.82 deg, I 31
- 36.19 deg, I 51
- 38.26 deg, I 54
- 60.39 deg, I 28
- 64.71 deg, I 33

Unit cell a=3.643 b=9.243 c=7.291 alpha=90.00 beta=90.00 gamma=90.00
Atoms (fractional coordinates):
1 Sm 0.250 0.074 0.168
2 Sm 0.250 0.250 0.762
3 Sm 0.250 0.426 0.168
4 Sm 0.750 0.574 0.832
5 Sm 0.750 0.750 0.238
6 Sm 0.750 0.926 0.832
7 C 0.250 0.750 0.013
8 C 0.750 0.250 0.987
9 Cl 0.250 0.750 0.563
10 Cl 0.750 0.250 0.437